Cs3Pu2Cl8: computed XRD peak list (copper Kα), based on a crystal structure in Alexandria, relaxed with PBE.
Neutral-atom scattering factors, no anomalous dispersion.

Structure:
```
data_Cs3Pu2Cl8
_cell_length_a 10.727
_cell_length_b 10.727
_cell_length_c 10.727
_cell_angle_alpha 44.77
_cell_angle_beta 44.77
_cell_angle_gamma 44.77
_symmetry_space_group_name_H-M 'P 1'
_symmetry_Int_Tables_number 1
loop_
_symmetry_equiv_pos_as_xyz
'x,y,z'
loop_
_atom_site_label
_atom_site_fract_x
_atom_site_fract_y
_atom_site_fract_z
Cs1 0.000 0.000 0.000
Cs2 0.198 0.198 0.198
Cs3 0.802 0.802 0.802
Pu1 0.406 0.406 0.406
Pu2 0.594 0.594 0.594
Cl1 0.212 0.741 0.741
Cl2 0.259 0.259 0.788
Cl3 0.259 0.788 0.259
Cl4 0.315 0.315 0.315
Cl5 0.685 0.685 0.685
Cl6 0.741 0.212 0.741
Cl7 0.741 0.741 0.212
Cl8 0.788 0.259 0.259
```

Main lines, in order of rising 2θ (10 to 90 degrees two-theta):
d 4.477, rel. 87; d 4.085, rel. 100; d 3.018, rel. 52; d 2.676, rel. 38; d 2.427, rel. 42; d 2.359, rel. 23; d 2.043, rel. 26; d 1.963, rel. 28; d 1.858, rel. 18; d 1.743, rel. 18